1.
Cs3BS3: calculated powder diffraction line list (copper Kα), based on a GGA-PBE-relaxed structure.
No peak broadening, texture or thermal motion is included.

Cell and atoms:
```
data_Cs3BS3
_space_group_name_H-M_alt 'P 1 21/m 1'
_space_group_IT_number 11
_cell_length_a 9.516
_cell_length_b 7.008
_cell_length_c 9.520
_cell_angle_alpha 90.00
_cell_angle_beta 119.96
_cell_angle_gamma 90.00
loop_
_space_group_symop_operation_xyz
'x,y,z'
'-x,-y,-z'
'-x,y+1/2,-z'
'x,-y+1/2,z'
loop_
_atom_site_label
_atom_site_fract_x
_atom_site_fract_y
_atom_site_fract_z
Cs1 0.104 0.250 0.222
Cs2 0.278 0.250 0.882
Cs3 0.382 0.750 0.604
B1 0.333 0.750 0.167
S1 0.153 0.750 0.192
S2 0.308 0.750 0.961
S3 0.461 0.250 0.653
```

Largest 8 diffraction maxima, by angle, 10 to 80 degrees two-theta:
hkl 2 0 -1, 2θ = 18.64°, intensity 26; hkl 1 1 1, 2θ = 22.58°, intensity 72; hkl 2 1 0, 2θ = 25.06°, intensity 54; hkl 0 2 0, 2θ = 25.42°, intensity 60; hkl 3 0 -2, 2θ = 28.65°, intensity 100; hkl 3 2 -2, 2θ = 38.67°, intensity 86; hkl 4 1 -1, 2θ = 41.54°, intensity 31; hkl 3 4 -2, 2θ = 60.63°, intensity 22

2.
La4ReI5: calculated powder diffraction line list (copper Kα), based on a GGA-PBE-relaxed structure.
No peak broadening, texture or thermal motion is included.

Cell and atoms:
```
data_La4ReI5
_space_group_name_H-M_alt 'C 1 2/m 1'
_space_group_IT_number 12
_cell_length_a 19.955
_cell_length_b 4.428
_cell_length_c 9.462
_cell_angle_alpha 90.00
_cell_angle_beta 103.80
_cell_angle_gamma 90.00
loop_
_space_group_symop_operation_xyz
'x,y,z'
'-x,-y,-z'
'-x,y,-z'
'x,-y,z'
'x+1/2,y+1/2,z'
'-x+1/2,-y+1/2,-z'
'-x+1/2,y+1/2,-z'
'x+1/2,-y+1/2,z'
loop_
_atom_site_label
_atom_site_fract_x
_atom_site_fract_y
_atom_site_fract_z
La1 0.000 0.000 0.215
La2 0.138 0.500 0.072
Re1 0.000 0.500 0.000
I1 0.000 0.500 0.500
I2 0.169 0.000 0.337
I3 0.172 0.000 0.834
```

Largest 8 diffraction maxima, by angle, 10 to 80 degrees two-theta:
hkl 1 1 -2, 2θ = 27.60°, intensity 100; hkl 2 0 -4, 2θ = 38.04°, intensity 13; hkl 5 1 2, 2θ = 39.44°, intensity 43; hkl 0 2 0, 2θ = 40.75°, intensity 13; hkl 4 0 4, 2θ = 47.65°, intensity 11; hkl 6 2 0, 2θ = 49.95°, intensity 13; hkl 2 2 -4, 2θ = 56.99°, intensity 11; hkl 4 2 4, 2θ = 64.46°, intensity 12

3.
LiPd6Pt5: calculated powder diffraction line list (copper Kα), based on a GGA-PBE-relaxed structure.
No peak broadening, texture or thermal motion is included.

Cell and atoms:
```
data_LiPd6Pt5
_space_group_name_H-M_alt 'C m m m'
_space_group_IT_number 65
_space_group_name_Hall '-C 2 2'
_cell_length_a 3.960
_cell_length_b 11.819
_cell_length_c 7.783
_cell_angle_alpha 90.00
_cell_angle_beta 90.00
_cell_angle_gamma 90.00
loop_
_atom_site_label
_atom_site_fract_x
_atom_site_fract_y
_atom_site_fract_z
Li1 0.000 0.000 0.000
Pd1 0.000 0.166 0.244
Pd2 0.000 0.500 0.242
Pt1 0.000 0.000 0.500
Pt2 0.000 0.336 0.000
Pt3 0.000 0.336 0.500
```

Largest 8 diffraction maxima, by angle, 10 to 80 degrees two-theta:
hkl 0 0 1, 2θ = 11.37°, intensity 5; hkl 1 3 2, 2θ = 39.72°, intensity 100; hkl 2 0 0, 2θ = 45.83°, intensity 17; hkl 0 6 0, 2θ = 46.08°, intensity 16; hkl 0 0 4, 2θ = 46.68°, intensity 16; hkl 2 6 0, 2θ = 67.02°, intensity 11; hkl 2 0 4, 2θ = 67.49°, intensity 11; hkl 0 6 4, 2θ = 67.68°, intensity 10

4.
CdSbIr2: calculated powder diffraction line list (copper Kα), based on a GGA-PBE-relaxed structure.
No peak broadening, texture or thermal motion is included.

Cell and atoms:
```
data_CdSbIr2
_space_group_name_H-M_alt 'P m m 2'
_space_group_IT_number 25
_cell_length_a 3.107
_cell_length_b 4.942
_cell_length_c 4.692
_cell_angle_alpha 90.00
_cell_angle_beta 90.00
_cell_angle_gamma 90.00
loop_
_space_group_symop_operation_xyz
'x,y,z'
'-x,-y,z'
'-x,y,z'
'x,-y,z'
loop_
_atom_site_label
_atom_site_fract_x
_atom_site_fract_y
_atom_site_fract_z
Cd1 0.000 0.000 0.000
Sb1 0.500 0.500 0.251
Ir1 0.000 0.500 0.715
Ir2 0.500 0.000 0.507
```

Largest 8 diffraction maxima, by angle, 10 to 80 degrees two-theta:
hkl 1 0 1, 2θ = 34.63°, intensity 51; hkl 0 2 0, 2θ = 36.36°, intensity 54; hkl 1 1 1, 2θ = 39.27°, intensity 100; hkl 0 1 2, 2θ = 42.66°, intensity 65; hkl 1 2 1, 2θ = 51.08°, intensity 34; hkl 1 3 1, 2θ = 67.36°, intensity 20; hkl 2 1 2, 2θ = 75.95°, intensity 24; hkl 1 2 3, 2θ = 78.69°, intensity 16

5.
GaTcMo: calculated powder diffraction line list (copper Kα), based on a GGA-PBE-relaxed structure.
No peak broadening, texture or thermal motion is included.

Cell and atoms:
```
data_GaTcMo
_space_group_name_H-M_alt 'P -1'
_space_group_IT_number 2
_cell_length_a 4.413
_cell_length_b 4.422
_cell_length_c 5.331
_cell_angle_alpha 89.73
_cell_angle_beta 89.87
_cell_angle_gamma 60.15
loop_
_space_group_symop_operation_xyz
'x,y,z'
'-x,-y,-z'
loop_
_atom_site_label
_atom_site_fract_x
_atom_site_fract_y
_atom_site_fract_z
Ga1 0.167 0.167 0.078
Tc1 0.500 0.500 0.242
Mo1 0.167 0.165 0.582
```

Largest 8 diffraction maxima, by angle, 10 to 80 degrees two-theta:
hkl 1 2 0, 2θ = 40.79°, intensity 100; hkl 2 1 0, 2θ = 40.90°, intensity 50; hkl 1 1 2, 2θ = 41.21°, intensity 49; hkl 1 0 -2, 2θ = 41.30°, intensity 96; hkl 2 0 2, 2θ = 59.46°, intensity 16; hkl 3 3 0, 2θ = 74.41°, intensity 16; hkl 2 3 2, 2θ = 74.50°, intensity 16; hkl 3 2 2, 2θ = 74.64°, intensity 16

6.
Cd2OsRhSe: calculated powder diffraction line list (copper Kα), based on a GGA-PBE-relaxed structure.
No peak broadening, texture or thermal motion is included.

Cell and atoms:
```
data_Cd2OsRhSe
_space_group_name_H-M_alt 'P 4/m m m'
_space_group_IT_number 123
_space_group_name_Hall '-P 4 2'
_cell_length_a 5.218
_cell_length_b 5.218
_cell_length_c 4.621
_cell_angle_alpha 90.00
_cell_angle_beta 90.00
_cell_angle_gamma 90.00
loop_
_atom_site_label
_atom_site_fract_x
_atom_site_fract_y
_atom_site_fract_z
Cd1 0.000 0.500 0.000
Os1 0.000 0.000 0.000
Rh1 0.000 0.000 0.500
Se1 0.500 0.500 0.500
```

Largest 8 diffraction maxima, by angle, 10 to 80 degrees two-theta:
hkl 1 0 0, 2θ = 16.99°, intensity 70; hkl 0 0 1, 2θ = 19.21°, intensity 31; hkl 1 1 1, 2θ = 31.02°, intensity 39; hkl 2 0 0, 2θ = 34.38°, intensity 100; hkl 0 0 2, 2θ = 38.99°, intensity 35; hkl 2 2 0, 2θ = 49.41°, intensity 35; hkl 2 0 2, 2θ = 52.94°, intensity 57; hkl 2 2 2, 2θ = 64.66°, intensity 31

7.
Ac3CePb2C: calculated powder diffraction line list (copper Kα), based on a GGA-PBE-relaxed structure.
No peak broadening, texture or thermal motion is included.

Cell and atoms:
```
data_Ac3CePb2C
_space_group_name_H-M_alt 'I m m m'
_space_group_IT_number 71
_space_group_name_Hall '-I 2 2'
_cell_length_a 4.991
_cell_length_b 5.345
_cell_length_c 17.731
_cell_angle_alpha 90.00
_cell_angle_beta 90.00
_cell_angle_gamma 90.00
loop_
_atom_site_label
_atom_site_fract_x
_atom_site_fract_y
_atom_site_fract_z
Ac1 0.000 0.000 0.000
Ac2 0.000 0.500 0.165
Ce1 0.000 0.000 0.500
Pb1 0.000 0.500 0.362
C1 0.000 0.500 0.000
```

Largest 8 diffraction maxima, by angle, 10 to 80 degrees two-theta:
hkl 1 1 0, 2θ = 24.40°, intensity 25; hkl 1 1 2, 2θ = 26.42°, intensity 66; hkl 0 0 6, 2θ = 30.24°, intensity 35; hkl 1 1 4, 2θ = 31.77°, intensity 100; hkl 0 2 0, 2θ = 33.53°, intensity 34; hkl 2 0 0, 2θ = 35.99°, intensity 28; hkl 2 0 6, 2θ = 47.70°, intensity 20; hkl 2 2 0, 2θ = 50.01°, intensity 23

8.
Na4Th3PdSe8: calculated powder diffraction line list (copper Kα), based on a GGA-PBE-relaxed structure.
No peak broadening, texture or thermal motion is included.

Cell and atoms:
```
data_Na4Th3PdSe8
_space_group_name_H-M_alt 'C 1 2/m 1'
_space_group_IT_number 12
_cell_length_a 14.700
_cell_length_b 8.399
_cell_length_c 8.526
_cell_angle_alpha 90.00
_cell_angle_beta 124.98
_cell_angle_gamma 90.00
loop_
_space_group_symop_operation_xyz
'x,y,z'
'-x,-y,-z'
'-x,y,-z'
'x,-y,z'
'x+1/2,y+1/2,z'
'-x+1/2,-y+1/2,-z'
'-x+1/2,y+1/2,-z'
'x+1/2,-y+1/2,z'
loop_
_atom_site_label
_atom_site_fract_x
_atom_site_fract_y
_atom_site_fract_z
Na1 0.000 0.000 0.000
Na2 0.000 0.500 0.000
Na3 0.250 0.250 0.000
Th1 0.000 0.000 0.500
Th2 0.250 0.250 0.500
Pd1 0.000 0.500 0.500
Se1 0.008 0.250 0.273
Se2 0.247 0.000 0.744
Se3 0.249 0.500 0.735
```

Largest 8 diffraction maxima, by angle, 10 to 80 degrees two-theta:
hkl 0 0 1, 2θ = 12.67°, intensity 90; hkl 2 2 -1, 2θ = 24.79°, intensity 31; hkl 4 0 0, 2θ = 29.67°, intensity 51; hkl 2 2 -2, 2θ = 29.87°, intensity 100; hkl 2 2 2, 2θ = 42.45°, intensity 56; hkl 6 2 -2, 2θ = 42.73°, intensity 38; hkl 0 4 0, 2θ = 43.08°, intensity 19; hkl 4 4 0, 2θ = 53.18°, intensity 20

9.
Tm2Al4Cu3Pd: calculated powder diffraction line list (copper Kα), based on a GGA-PBE-relaxed structure.
No peak broadening, texture or thermal motion is included.

Cell and atoms:
```
data_Tm2Al4Cu3Pd
_space_group_name_H-M_alt 'P -4 m 2'
_space_group_IT_number 115
_cell_length_a 4.104
_cell_length_b 4.104
_cell_length_c 10.318
_cell_angle_alpha 90.00
_cell_angle_beta 90.00
_cell_angle_gamma 90.00
loop_
_space_group_symop_operation_xyz
'x,y,z'
'y,-x,-z'
'-x,-y,z'
'-y,x,-z'
'-x,y,z'
'-y,-x,-z'
'x,-y,z'
'y,x,-z'
loop_
_atom_site_label
_atom_site_fract_x
_atom_site_fract_y
_atom_site_fract_z
Tm1 0.000 0.500 0.247
Al1 0.000 0.000 0.000
Al2 0.000 0.500 0.634
Al3 0.500 0.500 0.000
Cu1 0.000 0.500 0.865
Cu2 0.500 0.500 0.500
Pd1 0.000 0.000 0.500
```

Largest 8 diffraction maxima, by angle, 10 to 80 degrees two-theta:
hkl 1 0 1, 2θ = 23.33°, intensity 31; hkl 1 0 3, 2θ = 34.01°, intensity 64; hkl 1 1 2, 2θ = 35.49°, intensity 100; hkl 2 0 0, 2θ = 44.14°, intensity 45; hkl 1 0 5, 2θ = 49.44°, intensity 28; hkl 2 1 3, 2θ = 56.87°, intensity 29; hkl 2 1 5, 2θ = 68.41°, intensity 21; hkl 3 1 2, 2θ = 75.55°, intensity 22

10.
SbHN2: calculated powder diffraction line list (copper Kα), based on a GGA-PBE-relaxed structure.
No peak broadening, texture or thermal motion is included.

Cell and atoms:
```
data_SbHN2
_space_group_name_H-M_alt 'R -3 m'
_space_group_IT_number 166
_space_group_name_Hall '-R 3 2"'
_cell_length_a 3.2278
_cell_length_b 3.2278
_cell_length_c 14.3252
_cell_angle_alpha 90.00
_cell_angle_beta 90.00
_cell_angle_gamma 120.00
loop_
_atom_site_label
_atom_site_fract_x
_atom_site_fract_y
_atom_site_fract_z
Sb1 0.0000 0.0000 0.0000
H1 0.0000 0.0000 0.5000
N1 0.0000 0.0000 0.4090
```

Largest 8 diffraction maxima, by angle, 10 to 80 degrees two-theta:
hkl 0 0 3, 2θ = 18.58°, intensity 100; hkl 1 0 1, 2θ = 32.64°, intensity 44; hkl 0 1 2, 2θ = 34.44°, intensity 75; hkl 1 0 4, 2θ = 40.96°, intensity 29; hkl 0 1 5, 2θ = 45.33°, intensity 39; hkl 1 0 7, 2θ = 55.66°, intensity 19; hkl 1 1 0, 2θ = 57.07°, intensity 20; hkl 1 1 3, 2θ = 60.56°, intensity 24

11.
ErMg3Ga3: calculated powder diffraction line list (copper Kα), based on a GGA-PBE-relaxed structure.
No peak broadening, texture or thermal motion is included.

Cell and atoms:
```
data_ErMg3Ga3
_space_group_name_H-M_alt 'P m -3 n'
_space_group_IT_number 223
_space_group_name_Hall '-P 4n 2 3'
_cell_length_a 7.275
_cell_length_b 7.275
_cell_length_c 7.275
_cell_angle_alpha 90.00
_cell_angle_beta 90.00
_cell_angle_gamma 90.00
loop_
_atom_site_label
_atom_site_fract_x
_atom_site_fract_y
_atom_site_fract_z
Er1 0.000 0.000 0.000
Mg1 0.000 0.250 0.500
Ga1 0.000 0.500 0.250
```

Largest 8 diffraction maxima, by angle, 10 to 80 degrees two-theta:
hkl 2 0 0, 2θ = 24.47°, intensity 42; hkl 2 1 0, 2θ = 27.41°, intensity 16; hkl 2 1 1, 2θ = 30.09°, intensity 100; hkl 3 2 1, 2θ = 46.72°, intensity 59; hkl 4 0 0, 2θ = 50.16°, intensity 18; hkl 4 2 0, 2θ = 56.57°, intensity 17; hkl 3 3 2, 2θ = 59.60°, intensity 14; hkl 5 2 1, 2θ = 70.96°, intensity 17

12.
Eu2Nb4O13: calculated powder diffraction line list (copper Kα), based on a GGA-PBE-relaxed structure.
No peak broadening, texture or thermal motion is included.

Cell and atoms:
```
data_Eu2Nb4O13
_space_group_name_H-M_alt 'P 1'
_space_group_IT_number 1
_cell_length_a 5.470
_cell_length_b 6.047
_cell_length_c 10.788
_cell_angle_alpha 96.69
_cell_angle_beta 92.61
_cell_angle_gamma 116.85
loop_
_space_group_symop_operation_xyz
'x,y,z'
loop_
_atom_site_label
_atom_site_fract_x
_atom_site_fract_y
_atom_site_fract_z
Eu1 0.000 0.000 0.000
Eu2 0.253 0.546 0.750
Nb1 0.264 0.652 0.121
Nb2 0.618 0.367 0.543
Nb3 0.660 0.260 0.185
Nb4 0.913 0.944 0.678
O1 0.001 0.669 0.621
O2 0.036 0.535 0.257
O3 0.172 0.170 0.821
O4 0.196 0.711 0.954
O5 0.250 0.974 0.173
O6 0.264 0.164 0.587
O7 0.447 0.423 0.115
O8 0.543 0.656 0.577
O9 0.617 0.290 0.373
O10 0.674 0.934 0.156
O11 0.708 0.796 0.817
O12 0.792 0.192 0.636
O13 0.880 0.320 0.040
```

Largest 8 diffraction maxima, by angle, 10 to 80 degrees two-theta:
hkl 0 0 2, 2θ = 16.65°, intensity 100; hkl 0 1 -1, 2θ = 17.42°, intensity 44; hkl 1 0 -1, 2θ = 19.25°, intensity 40; hkl 1 -1 1, 2θ = 19.80°, intensity 70; hkl 1 0 -3, 2θ = 29.49°, intensity 71; hkl 1 -2 0, 2θ = 29.91°, intensity 76; hkl 1 1 0, 2θ = 30.08°, intensity 63; hkl 1 -1 3, 2θ = 30.72°, intensity 55